No. 1
Structure and theoretical powder X-ray diffraction pattern of KLiTaF6 (the PBE geometry in Alexandria; CuKα).
Lines closer than 0.1° are merged.

Atomic structure:
a = 5.554 Å, b = 5.554 Å, c = 11.101 Å
α = 90.00°, β = 90.00°, γ = 120.00°
Element x y z (fractional)
K1 0.000 0.000 0.000
K2 0.000 0.000 0.500
Li1 0.333 0.667 0.250
Li2 0.667 0.333 0.750
Ta1 0.333 0.667 0.750
Ta2 0.667 0.333 0.250
F1 0.009 0.372 0.658
F2 0.009 0.637 0.842
F3 0.363 0.372 0.842
F4 0.363 0.991 0.658
F5 0.372 0.009 0.158
F6 0.372 0.363 0.342
F7 0.628 0.637 0.658
F8 0.628 0.991 0.842
F9 0.637 0.009 0.342
F10 0.637 0.628 0.158
F11 0.991 0.363 0.158
F12 0.991 0.628 0.342

Top 8 peaks for 5° ≤ 2θ ≤ 70°, low angle first:
15.97 deg, rel. 45
20.12 deg, rel. 100
24.49 deg, rel. 53
30.48 deg, rel. 34
32.24 deg, rel. 23
36.17 deg, rel. 22
44.96 deg, rel. 24
46.25 deg, rel. 35

No. 2
Structure and theoretical powder X-ray diffraction pattern of KLi2TaF8 (the PBE geometry in Alexandria; CuKα).
Lines closer than 0.1° are merged.

Atomic structure:
a = 8.439 Å, b = 8.439 Å, c = 8.439 Å
α = 34.07°, β = 34.07°, γ = 34.07°
Element x y z (fractional)
K1 0.000 0.000 0.000
Li1 0.269 0.269 0.269
Li2 0.731 0.731 0.731
Ta1 0.500 0.500 0.500
F1 0.131 0.478 0.739
F2 0.261 0.522 0.869
F3 0.342 0.342 0.342
F4 0.478 0.739 0.131
F5 0.522 0.869 0.261
F6 0.658 0.658 0.658
F7 0.739 0.131 0.478
F8 0.869 0.261 0.522

Top 8 peaks for 5° ≤ 2θ ≤ 70°, low angle first:
11.14 deg, rel. 100
21.08 deg, rel. 86
22.06 deg, rel. 98
22.39 deg, rel. 36
25.62 deg, rel. 81
36.34 deg, rel. 38
36.76 deg, rel. 29
43.11 deg, rel. 62

No. 3
Structure and theoretical powder X-ray diffraction pattern of KLi2TcF8 (the PBE geometry in Alexandria; CuKα).
Lines closer than 0.1° are merged.

Atomic structure:
a = 5.078 Å, b = 5.078 Å, c = 8.035 Å
α = 90.00°, β = 90.00°, γ = 120.00°
Element x y z (fractional)
K1 0.000 0.000 0.000
Li1 0.333 0.667 0.760
Li2 0.667 0.333 0.240
Tc1 0.000 0.000 0.500
F1 0.024 0.314 0.644
F2 0.290 0.976 0.644
F3 0.314 0.290 0.356
F4 0.333 0.667 0.981
F5 0.667 0.333 0.019
F6 0.686 0.710 0.644
F7 0.710 0.024 0.356
F8 0.976 0.686 0.356

Top 8 peaks for 5° ≤ 2θ ≤ 70°, low angle first:
11.01 deg, rel. 65
20.19 deg, rel. 100
22.13 deg, rel. 31
23.05 deg, rel. 70
30.13 deg, rel. 65
35.35 deg, rel. 25
42.10 deg, rel. 67
58.60 deg, rel. 31

No. 4
Structure and theoretical powder X-ray diffraction pattern of KLiTmF5 (the PBE geometry in Alexandria; CuKα).
Lines closer than 0.1° are merged.

Atomic structure:
a = 6.158 Å, b = 6.158 Å, c = 8.154 Å
α = 103.67°, β = 103.67°, γ = 107.07°
Element x y z (fractional)
K1 0.161 0.839 0.750
K2 0.839 0.161 0.250
Li1 0.185 0.815 0.250
Li2 0.815 0.185 0.750
Tm1 0.500 0.500 0.000
Tm2 0.500 0.500 0.500
F1 0.133 0.259 0.906
F2 0.208 0.602 0.389
F3 0.259 0.133 0.406
F4 0.398 0.792 0.111
F5 0.428 0.572 0.750
F6 0.572 0.428 0.250
F7 0.602 0.208 0.889
F8 0.741 0.867 0.594
F9 0.792 0.398 0.611
F10 0.867 0.741 0.094

Top 8 peaks for 5° ≤ 2θ ≤ 70°, low angle first:
15.94 deg, rel. 100
17.91 deg, rel. 36
23.91 deg, rel. 68
26.54 deg, rel. 28
29.93 deg, rel. 29
30.16 deg, rel. 29
38.87 deg, rel. 14
57.32 deg, rel. 15